# 1
Structure and theoretical X-ray powder pattern of Li4Co5SnO12 (a cell relaxed with GGA+U; Cu Kα X-rays).
Kinematic intensities with the Lorentz-polarization factor, no thermal factor.

Structural model:
```
Li4Co5SnO12
1.0
5.131 0.000 0.000
-0.024 8.659 0.000
-0.821 -4.301 9.877
Li Co Sn O
8 10 2 24
direct
0.000 0.000 0.000 Li
0.005 0.345 0.999 Li
0.084 0.265 0.511 Li
0.096 0.598 0.515 Li
0.500 0.840 0.001 Li
0.511 0.504 0.000 Li
0.581 0.751 0.516 Li
0.590 0.097 0.512 Li
0.047 0.134 0.256 Co
0.047 0.466 0.257 Co
0.295 0.217 0.757 Co
0.295 0.883 0.760 Co
0.298 0.550 0.755 Co
0.547 0.638 0.257 Co
0.548 0.970 0.256 Co
0.789 0.714 0.753 Co
0.796 0.054 0.757 Co
0.797 0.385 0.755 Co
0.048 0.801 0.257 Sn
0.547 0.302 0.256 Sn
0.124 0.108 0.856 O
0.144 0.428 0.852 O
0.174 0.773 0.863 O
0.208 0.353 0.363 O
0.226 0.678 0.370 O
0.245 0.033 0.364 O
0.350 0.071 0.149 O
0.372 0.426 0.143 O
0.387 0.750 0.148 O
0.430 0.659 0.647 O
0.449 0.331 0.659 O
0.460 0.006 0.661 O
0.640 0.597 0.854 O
0.673 0.935 0.861 O
0.676 0.277 0.861 O
0.709 0.858 0.364 O
0.725 0.538 0.369 O
0.745 0.178 0.363 O
0.849 0.925 0.149 O
0.872 0.566 0.144 O
0.887 0.245 0.148 O
0.916 0.172 0.650 O
0.919 0.836 0.654 O
0.955 0.498 0.657 O
```

Top 10 peaks for 2θ from 10° to 90°, low angle first:
2θ/deg, Rel. int.
18.0, 100
35.5, 11
36.2, 19
37.1, 10
42.9, 9
43.5, 18
46.8, 9
47.3, 9
47.5, 9
56.8, 11

# 2
Structure and theoretical X-ray powder pattern of Li2Co3SnO8 (a cell relaxed with GGA+U; Cu Kα X-rays).
Kinematic intensities with the Lorentz-polarization factor, no thermal factor.

Structural model:
```
Li2Co3SnO8
1.0
2.883 1.665 4.941
-2.883 1.665 4.941
0.000 -3.329 4.941
Li Co Sn O
2 3 1 8
direct
0.115 0.115 0.115 Li
0.885 0.885 0.885 Li
0.000 0.500 0.500 Co
0.500 0.000 0.500 Co
0.500 0.500 0.000 Co
0.500 0.500 0.500 Sn
0.252 0.252 0.712 O
0.252 0.712 0.252 O
0.270 0.270 0.270 O
0.288 0.748 0.748 O
0.712 0.252 0.252 O
0.730 0.730 0.730 O
0.748 0.288 0.748 O
0.748 0.748 0.288 O
```

Top 10 peaks for 2θ from 10° to 90°, low angle first:
2θ/deg, Rel. int.
18.0, 11
18.8, 100
35.2, 21
36.1, 37
38.0, 16
43.7, 53
48.6, 12
57.9, 13
62.4, 16
64.7, 16

# 3
Structure and theoretical X-ray powder pattern of Li2Co2SnO6 (a cell relaxed with GGA+U; Cu Kα X-rays).
Kinematic intensities with the Lorentz-polarization factor, no thermal factor.

Structural model:
```
Li2Co2SnO6
1.0
4.569 -2.650 0.000
4.569 2.650 0.000
0.000 0.000 10.221
Li Co Sn O
4 4 2 12
direct
0.158 0.342 0.250 Li
0.342 0.158 0.750 Li
0.658 0.842 0.250 Li
0.842 0.658 0.750 Li
0.163 0.163 0.000 Co
0.337 0.337 0.500 Co
0.663 0.663 0.500 Co
0.837 0.837 0.000 Co
0.000 0.000 0.500 Sn
0.500 0.500 0.000 Sn
0.019 0.334 0.609 O
0.160 0.840 0.097 O
0.166 0.481 0.891 O
0.334 0.019 0.391 O
0.340 0.660 0.597 O
0.481 0.166 0.109 O
0.519 0.834 0.891 O
0.660 0.340 0.403 O
0.666 0.981 0.609 O
0.834 0.519 0.109 O
0.840 0.160 0.903 O
0.981 0.666 0.391 O
```

Top 10 peaks for 2θ from 10° to 90°, low angle first:
2θ/deg, Rel. int.
17.4, 100
21.2, 10
33.8, 12
35.1, 49
38.3, 21
43.3, 44
49.6, 15
57.0, 20
61.3, 18
74.2, 16